1.
For BaV3Ru, a structure optimized by DFT (GGA-PBE) gives the simulated XRD peak list in this record (Cu Kα, 1.54184 Å).
No peak broadening, texture or thermal motion is included.

Cell: 4.854 4.854 4.854 Å, 90.00 90.00 90.00°
Atoms (fractional coordinates):
Ba: 0.000 0.000 0.000
V: 0.000 0.500 0.500
V: 0.500 0.000 0.500
V: 0.500 0.500 0.000
Ru: 0.500 0.500 0.500

The 8 most intense peaks (2θ from 10° to 90°), in order of rising 2θ:
2θ/deg	Rel. int.
25.96	100
31.93	37
37.04	85
45.79	43
53.39	57
60.30	19
66.76	19
72.92	22

=====

2.
For NpICl6, a structure optimized by DFT (GGA-PBE) gives the simulated XRD peak list in this record (Cu Kα, 1.54184 Å).
No peak broadening, texture or thermal motion is included.

Cell: 6.990 6.990 8.315 Å, 101.15 101.15 116.10°
Atoms (fractional coordinates):
Np: 0.000 0.000 0.000
I: 0.500 0.500 0.500
Cl: 0.108 0.813 0.195
Cl: 0.187 0.892 0.805
Cl: 0.386 0.386 0.168
Cl: 0.614 0.614 0.832
Cl: 0.813 0.108 0.195
Cl: 0.892 0.187 0.805

The 8 most intense peaks (2θ from 10° to 90°), in order of rising 2θ:
2θ/deg	Rel. int.
11.43	26
14.93	72
15.65	100
21.51	37
25.88	26
26.44	26
27.52	22
31.58	25